Record 1
LiBH4: theoretical X-ray powder pattern (Cu Ka), based on a crystal structure in the Materials Project, relaxed with PBE.
Peak positions follow from Bragg's law for the DFT cell and can differ from measured ones.

Main lines, by angle (15 to 90 degrees two-theta):
2θ/deg  d (Å)  I/Imax
18.36  4.832  100
25.34  3.515  90
25.71  3.466  26
29.00  3.079  16
34.82  2.576  24
38.45  2.341  17
41.00  2.201  14
45.27  2.003  9
49.08  1.856  22
49.65  1.836  9

Structure:
a b c (Å): 8.6137 4.4023 5.8373
angles (deg): 90.00 90.00 90.00
Fractional positions:
Li  0.1441  0.2500  0.0807
Li  0.3559  0.7500  0.5807
Li  0.6441  0.2500  0.4193
Li  0.8559  0.7500  0.9193
B  0.1363  0.7500  0.8486
B  0.3637  0.2500  0.3486
B  0.6363  0.7500  0.6514
B  0.8637  0.2500  0.1514
H  0.0305  0.7500  0.7087
H  0.0890  0.7500  0.0474
H  0.2168  0.5233  0.8185
H  0.2168  0.9767  0.8185
H  0.2832  0.0233  0.3185
H  0.2832  0.4767  0.3185
H  0.4110  0.2500  0.5474
H  0.4695  0.2500  0.2087
H  0.5305  0.7500  0.7913
H  0.5890  0.7500  0.4526
H  0.7168  0.5233  0.6815
H  0.7168  0.9767  0.6815
H  0.7832  0.0233  0.1815
H  0.7832  0.4767  0.1815
H  0.9110  0.2500  0.9526
H  0.9695  0.2500  0.2913

Record 2
Zn7P10: theoretical X-ray powder pattern (Cu Ka), based on a crystal structure in the Materials Project, relaxed with PBE.
Peak positions follow from Bragg's law for the DFT cell and can differ from measured ones.

Main lines, by angle (15 to 90 degrees two-theta):
2θ/deg  d (Å)  I/Imax
25.71  3.465  18
26.70  3.338  26
28.50  3.132  28
29.17  3.062  21
30.60  2.921  100
31.60  2.831  42
33.60  2.667  19
33.74  2.657  21
37.69  2.386  25
51.75  1.766  23

Structure:
a b c (Å): 13.2705 11.0883 17.0081
angles (deg): 51.24 40.66 88.09
Fractional positions:
Zn  0.0000  0.0000  0.0000
Zn  0.1850  0.2633  0.9751
Zn  0.2500  0.2500  0.2500
Zn  0.2633  0.1850  0.5766
Zn  0.2749  0.6734  0.0650
Zn  0.3261  0.7341  0.2680
Zn  0.4226  0.7700  0.5013
Zn  0.5782  0.9820  0.5159
Zn  0.6734  0.2749  0.9867
Zn  0.7341  0.3261  0.6718
Zn  0.7487  0.9439  0.8274
Zn  0.7700  0.4226  0.3061
Zn  0.9439  0.7487  0.4800
Zn  0.9820  0.5782  0.9239
P  0.0062  0.3550  0.7179
P  0.1247  0.4669  0.3703
P  0.2119  0.8797  0.7831
P  0.2641  0.4677  0.6137
P  0.3291  0.5321  0.8950
P  0.3310  0.9710  0.4327
P  0.3550  0.0062  0.9209
P  0.4669  0.1247  0.0381
P  0.4677  0.2641  0.6546
P  0.5321  0.3291  0.2438
P  0.5954  0.6363  0.7823
P  0.6247  0.6569  0.2540
P  0.6363  0.5954  0.9859
P  0.6569  0.6247  0.4644
P  0.7856  0.9960  0.5931
P  0.8173  0.9847  0.9190
P  0.8797  0.2119  0.1253
P  0.9710  0.3310  0.2653
P  0.9847  0.8173  0.2790
P  0.9960  0.7856  0.6253

Record 3
CaLu2Ge4O12: theoretical X-ray powder pattern (Cu Ka), based on a crystal structure in the Materials Project, relaxed with PBE.
Peak positions follow from Bragg's law for the DFT cell and can differ from measured ones.

Main lines, by angle (15 to 90 degrees two-theta):
2θ/deg  d (Å)  I/Imax
21.61  4.112  37
28.23  3.161  14
30.86  2.897  100
33.44  2.680  11
35.54  2.526  10
35.91  2.501  24
45.99  1.973  11
51.42  1.777  27
60.94  1.520  15
61.43  1.509  26

Structure:
a b c (Å): 10.0029 10.0029 5.0518
angles (deg): 90.00 90.00 90.14
Fractional positions:
Ca  0.0000  0.5000  0.0000
Ca  0.5000  0.0000  0.0000
Lu  0.0000  0.0000  0.0000
Lu  0.2500  0.2500  0.0000
Lu  0.5000  0.5000  0.0000
Lu  0.7500  0.7500  0.0000
Ge  0.0184  0.7506  0.5022
Ge  0.2494  0.9816  0.5022
Ge  0.2506  0.5184  0.5022
Ge  0.4816  0.7494  0.5022
Ge  0.5184  0.2506  0.4978
Ge  0.7494  0.4816  0.4978
Ge  0.7506  0.0184  0.4978
Ge  0.9816  0.2494  0.4978
O  0.0582  0.1703  0.7651
O  0.0740  0.3230  0.2478
O  0.1219  0.8781  0.6710
O  0.1301  0.6301  0.3495
O  0.1703  0.0582  0.2349
O  0.1770  0.4260  0.7522
O  0.3230  0.0740  0.7522
O  0.3297  0.4418  0.2349
O  0.3699  0.8699  0.3495
O  0.3781  0.6219  0.6710
O  0.4260  0.1770  0.2478
O  0.4418  0.3297  0.7651
O  0.5582  0.6703  0.2349
O  0.5740  0.8230  0.7522
O  0.6219  0.3781  0.3290
O  0.6301  0.1301  0.6505
O  0.6703  0.5582  0.7651
O  0.6770  0.9260  0.2478
O  0.8230  0.5740  0.2478
O  0.8297  0.9418  0.7651
O  0.8699  0.3699  0.6505
O  0.8781  0.1219  0.3290
O  0.9260  0.6770  0.7522
O  0.9418  0.8297  0.2349

Record 4
ZnCuO3: theoretical X-ray powder pattern (Cu Ka), based on a crystal structure in the Materials Project, relaxed with PBE.
Peak positions follow from Bragg's law for the DFT cell and can differ from measured ones.

Main lines, by angle (15 to 90 degrees two-theta):
2θ/deg  d (Å)  I/Imax
23.82  3.735  2
33.94  2.641  100
41.89  2.156  6
48.76  1.868  39
60.74  1.525  36
71.43  1.321  21
81.49  1.181  15
86.40  1.126  1

Structure:
a b c (Å): 3.7351 3.7351 3.7351
angles (deg): 90.00 90.00 90.00
Fractional positions:
Zn  0.0000  0.0000  0.0000
Cu  0.5000  0.5000  0.5000
O  0.0000  0.5000  0.5000
O  0.5000  0.0000  0.5000
O  0.5000  0.5000  0.0000

Record 5
Dy2CN2O2: theoretical X-ray powder pattern (Cu Ka), based on a crystal structure in the Materials Project, relaxed with PBE.
Peak positions follow from Bragg's law for the DFT cell and can differ from measured ones.

Main lines, by angle (15 to 90 degrees two-theta):
2θ/deg  d (Å)  I/Imax
21.67  4.101  18
27.56  3.236  17
29.68  3.010  100
32.76  2.734  19
35.33  2.540  44
43.33  2.088  20
48.74  1.868  28
52.86  1.732  25
58.11  1.588  15
59.97  1.543  20

Structure:
a b c (Å): 3.7369 3.7369 8.2014
angles (deg): 90.00 90.00 120.00
Fractional positions:
Dy  0.3333  0.6667  0.3229
Dy  0.6667  0.3333  0.6771
C  0.0000  0.0000  0.0000
N  0.0000  0.0000  0.1507
N  0.0000  0.0000  0.8493
O  0.3333  0.6667  0.6028
O  0.6667  0.3333  0.3972

Record 6
Ce6Cd4Pd13: theoretical X-ray powder pattern (Cu Ka), based on a crystal structure in the Materials Project, relaxed with PBE.
Peak positions follow from Bragg's law for the DFT cell and can differ from measured ones.

Main lines, by angle (15 to 90 degrees two-theta):
2θ/deg  d (Å)  I/Imax
28.63  3.118  20
31.43  2.847  18
34.02  2.635  9
36.45  2.465  12
38.74  2.324  100
40.93  2.205  11
54.24  1.691  9
70.13  1.342  28
78.86  1.214  11
83.12  1.162  10

Structure:
a b c (Å): 8.5397 8.5397 8.5397
angles (deg): 109.47 109.47 109.47
Fractional positions:
Ce  0.0000  0.3001  0.3001
Ce  0.0000  0.6999  0.6999
Ce  0.3001  0.0000  0.3001
Ce  0.3001  0.3001  0.0000
Ce  0.6999  0.0000  0.6999
Ce  0.6999  0.6999  0.0000
Cd  0.0000  0.0000  0.5000
Cd  0.0000  0.5000  0.0000
Cd  0.5000  0.0000  0.0000
Cd  0.5000  0.5000  0.5000
Pd  0.0000  0.0000  0.0000
Pd  0.0000  0.3456  0.6544
Pd  0.0000  0.6544  0.3456
Pd  0.3087  0.6544  0.6544
Pd  0.3456  0.0000  0.6544
Pd  0.3456  0.3456  0.6913
Pd  0.3456  0.6544  0.0000
Pd  0.3456  0.6913  0.3456
Pd  0.6544  0.0000  0.3456
Pd  0.6544  0.3087  0.6544
Pd  0.6544  0.3456  0.0000
Pd  0.6544  0.6544  0.3087
Pd  0.6913  0.3456  0.3456